# 1
Calculated XRD peak list
Compound: NpHgHO6
Radiation: Cu Kα X-rays
Structure: a crystal structure in Alexandria, relaxed with GGA-PBE

Atomic structure:
```
data_NpHgHO6
_chemical_formula_sum 'Np1 Hg1 H1 O6'
_cell_length_a 5.0830
_cell_length_b 5.1257
_cell_length_c 5.2172
_cell_angle_alpha 113.30
_cell_angle_beta 91.34
_cell_angle_gamma 94.69
_space_group_name_H-M_alt 'P 1'
_space_group_IT_number 1
loop_
_space_group_symop_operation_xyz
'x,y,z'
loop_
_atom_site_label
_atom_site_type_symbol
_atom_site_fract_x
_atom_site_fract_y
_atom_site_fract_z
Np1 Np 0.0000 0.0000 0.0000
Hg1 Hg 0.4877 0.6543 0.3201
H1 H 0.7404 0.4268 0.6137
O1 O 0.2138 0.7182 0.0474
O2 O 0.2188 0.3341 0.3312
O3 O 0.2213 0.0299 0.7332
O4 O 0.7283 0.6287 0.6481
O5 O 0.7706 0.9706 0.2920
O6 O 0.7726 0.2382 0.9324
```

Peak list (8 most intense, 2θ = 5–70°, by angle)
(0 0 1), 2θ = 18.55°, intensity 73; (1 -1 0), 2θ = 24.59°, intensity 98; (1 0 -1), 2θ = 24.83°, intensity 100; (1 0 1), 2θ = 26.42°, intensity 69; (1 -1 1), 2θ = 26.66°, intensity 83; (1 1 0), 2θ = 27.20°, intensity 84; (1 1 -1), 2θ = 27.66°, intensity 66; (0 1 1), 2θ = 31.62°, intensity 68


# 2
Calculated XRD peak list
Compound: CsO2
Radiation: Cu Kα X-rays
Structure: a crystal structure in Alexandria, relaxed with GGA-PBE

Atomic structure:
```
data_CsO2
_chemical_formula_sum 'Cs2 O4'
_cell_length_a 4.9521
_cell_length_b 6.7274
_cell_length_c 3.9360
_cell_angle_alpha 90.00
_cell_angle_beta 90.00
_cell_angle_gamma 90.00
_space_group_name_H-M_alt 'C m m m'
_space_group_IT_number 65
_space_group_name_Hall '-C 2 2'
loop_
_atom_site_label
_atom_site_type_symbol
_atom_site_fract_x
_atom_site_fract_y
_atom_site_fract_z
Cs1 Cs 0.0000 0.0000 0.0000
O1 O 0.0000 0.3992 0.5000
```

Peak list (8 most intense, 2θ = 5–70°, by angle)
(1 1 0), 2θ = 22.29°, intensity 51; (0 0 1), 2θ = 22.59°, intensity 21; (0 2 0), 2θ = 26.50°, intensity 32; (1 1 1), 2θ = 31.95°, intensity 100; (0 2 1), 2θ = 35.09°, intensity 22; (2 0 0), 2θ = 36.28°, intensity 19; (1 3 0), 2θ = 44.34°, intensity 16; (1 3 1), 2θ = 50.33°, intensity 16


# 3
Calculated XRD peak list
Compound: Tb4Sm3In
Radiation: Cu Kα X-rays
Structure: a crystal structure in Alexandria, relaxed with GGA-PBE

Atomic structure:
```
data_Tb4Sm3In
_chemical_formula_sum 'Tb8 Sm6 In2'
_cell_length_a 8.3814
_cell_length_b 7.1099
_cell_length_c 8.4279
_cell_angle_alpha 90.00
_cell_angle_beta 95.32
_cell_angle_gamma 90.00
_space_group_name_H-M_alt 'P 1 m 1'
_space_group_IT_number 6
loop_
_space_group_symop_operation_xyz
'x,y,z'
'x,-y,z'
loop_
_atom_site_label
_atom_site_type_symbol
_atom_site_fract_x
_atom_site_fract_y
_atom_site_fract_z
Tb1 Tb 0.0000 0.0000 0.0000
Tb2 Tb 0.1048 0.0000 0.4190
Tb3 Tb 0.3430 0.2418 0.1840
Tb4 Tb 0.4893 0.5000 0.5140
Tb5 Tb 0.5943 0.5000 0.9409
Tb6 Tb 0.7604 0.2478 0.2684
Sm1 Sm 0.0099 0.5000 0.0285
Sm2 Sm 0.2533 0.2591 0.7531
Sm3 Sm 0.5850 0.0000 0.9104
Sm4 Sm 0.8333 0.2523 0.6676
In1 In 0.0933 0.5000 0.4275
In2 In 0.5026 0.0000 0.5027
```

Peak list (8 most intense, 2θ = 5–70°, by angle)
(1 2 -1), 2θ = 28.94°, intensity 34; (2 0 2), 2θ = 31.61°, intensity 49; (1 0 -3), 2θ = 32.81°, intensity 35; (3 0 -1), 2θ = 33.01°, intensity 100; (2 2 0), 2θ = 33.10°, intensity 64; (3 2 -3), 2θ = 51.04°, intensity 26; (5 0 1), 2θ = 57.29°, intensity 19; (3 4 -1), 2θ = 62.39°, intensity 22


# 4
Calculated XRD peak list
Compound: PuAlIn2Pd4
Radiation: Cu Kα X-rays
Structure: a crystal structure in Alexandria, relaxed with GGA-PBE

Atomic structure:
```
data_PuAlIn2Pd4
_chemical_formula_sum 'Pu3 Al3 In6 Pd12'
_cell_length_a 4.5997
_cell_length_b 4.5997
_cell_length_c 24.5126
_cell_angle_alpha 90.00
_cell_angle_beta 90.00
_cell_angle_gamma 120.00
_space_group_name_H-M_alt 'R -3 m'
_space_group_IT_number 166
_space_group_name_Hall '-R 3 2"'
loop_
_atom_site_label
_atom_site_type_symbol
_atom_site_fract_x
_atom_site_fract_y
_atom_site_fract_z
Pu1 Pu 0.0000 0.0000 0.0000
Al1 Al 0.0000 0.0000 0.5000
In1 In 0.0000 0.0000 0.2474
Pd1 Pd 0.0000 0.0000 0.1333
Pd2 Pd 0.0000 0.0000 0.3966
```

Peak list (8 most intense, 2θ = 5–70°, by angle)
(1 0 1), 2θ = 22.61°, intensity 15; (0 1 5), 2θ = 28.88°, intensity 29; (1 0 7), 2θ = 34.09°, intensity 29; (0 1 8), 2θ = 37.01°, intensity 85; (1 1 0), 2θ = 39.17°, intensity 100; (0 2 7), 2θ = 52.88°, intensity 8; (2 0 8), 2θ = 54.99°, intensity 27; (1 2 8), 2θ = 69.57°, intensity 26